1.
Diffraction record for Sc3I7Br. The X-ray diffraction stick pattern is computed, not measured: it uses the GGA-PBE geometry in Alexandria and λ = 1.5418 Å (Cu Kα).
Peak positions follow from Bragg's law for the DFT cell and can differ from measured ones.

Most intense lines, 2θ from 5° to 70°, low angle first:
| d_spacing | intensity | h k l |
| --- | --- | --- |
| 7.493 | 16.8 | 0 0 1 |
| 3.747 | 21.5 | 0 0 2 |
| 3.572 | 11.5 | 2 2 -1 |
| 3.224 | 100.0 | 4 0 -3 |
| 2.585 | 33.9 | 2 2 1 |
| 2.062 | 24.6 | 0 4 0 |
| 2.049 | 10.0 | 4 0 1 |
| 2.046 | 16.8 | 2 2 -4 |
| 1.807 | 16.4 | 6 2 -5 |
| 1.737 | 16.2 | 4 4 -3 |

Structural model:
```
data_Sc3I7Br
_cell_length_a 14.2937
_cell_length_b 8.2444
_cell_length_c 10.3427
_cell_angle_alpha 90.00
_cell_angle_beta 133.57
_cell_angle_gamma 90.00
_symmetry_space_group_name_H-M 'C 1 m 1'
_symmetry_Int_Tables_number 8
_symmetry_space_group_name_Hall 'C -2y'
loop_
_atom_site_label
_atom_site_type_symbol
_atom_site_fract_x
_atom_site_fract_y
_atom_site_fract_z
Sc1 Sc 0.0000 0.0000 0.0000
Sc2 Sc 0.2468 0.2470 0.9999
I1 I 0.0562 0.5000 0.7768
I2 I 0.1950 0.2466 0.2259
I3 I 0.3019 0.2540 0.7765
I4 I 0.4411 0.0000 0.2256
I5 I 0.4481 0.5000 0.2340
Br1 Br 0.0636 0.0000 0.7977
```


2.
Diffraction record for ScIBr. The X-ray diffraction stick pattern is computed, not measured: it uses the GGA-PBE geometry in Alexandria and λ = 1.5418 Å (Cu Kα).
Peak positions follow from Bragg's law for the DFT cell and can differ from measured ones.

Most intense lines, 2θ from 5° to 70°, low angle first:
| d_spacing | intensity | h k l |
| --- | --- | --- |
| 7.419 | 24.3 | 0 0 1 |
| 3.709 | 20.1 | 0 0 2 |
| 3.080 | 100.0 | 1 0 1 |
| 2.501 | 39.6 | 1 0 2 |
| 1.997 | 29.4 | 0 1 3 |
| 1.955 | 24.8 | 1 1 0 |
| 1.729 | 13.8 | 1 1 2 |
| 1.651 | 15.3 | 0 2 1 |
| 1.397 | 9.0 | 2 0 3 |
| 1.345 | 12.3 | 1 1 4 |

Structural model:
```
data_ScIBr
_cell_length_a 3.9100
_cell_length_b 3.9100
_cell_length_c 7.4185
_cell_angle_alpha 90.00
_cell_angle_beta 90.00
_cell_angle_gamma 120.00
_symmetry_space_group_name_H-M 'P 3 m 1'
_symmetry_Int_Tables_number 156
_symmetry_space_group_name_Hall 'P 3 -2"'
loop_
_atom_site_label
_atom_site_type_symbol
_atom_site_fract_x
_atom_site_fract_y
_atom_site_fract_z
Sc1 Sc 0.0000 0.0000 0.0000
I1 I 0.3333 0.6667 0.7500
Br1 Br 0.6667 0.3333 0.2182
```


3.
Diffraction record for Sc3I2Br4. The X-ray diffraction stick pattern is computed, not measured: it uses the GGA-PBE geometry in Alexandria and λ = 1.5418 Å (Cu Kα).
Peak positions follow from Bragg's law for the DFT cell and can differ from measured ones.

Most intense lines, 2θ from 5° to 70°, low angle first:
| d_spacing | intensity | h k l |
| --- | --- | --- |
| 7.729 | 58.9 | 0 0 3 |
| 3.865 | 56.6 | 0 0 6 |
| 3.286 | 80.5 | 1 0 0 |
| 3.253 | 68.6 | 1 0 1 |
| 2.858 | 47.4 | 1 0 4 |
| 2.681 | 100.0 | 1 0 5 |
| 2.333 | 76.2 | 1 0 7 |
| 2.174 | 34.6 | 1 0 8 |
| 1.897 | 65.6 | 1 1 0 |
| 1.703 | 33.5 | 1 1 6 |

Structural model:
```
data_Sc3I2Br4
_cell_length_a 3.7941
_cell_length_b 3.7941
_cell_length_c 23.1875
_cell_angle_alpha 90.00
_cell_angle_beta 90.00
_cell_angle_gamma 120.00
_symmetry_space_group_name_H-M 'P -6 m 2'
_symmetry_Int_Tables_number 187
_symmetry_space_group_name_Hall 'P -6 2'
loop_
_atom_site_label
_atom_site_type_symbol
_atom_site_fract_x
_atom_site_fract_y
_atom_site_fract_z
Sc1 Sc 0.0000 0.0000 0.0000
Sc2 Sc 0.3333 0.6667 0.3330
I1 I 0.3333 0.6667 0.0841
Br1 Br 0.0000 0.0000 0.2585
Br2 Br 0.0000 0.0000 0.4076
```


4.
Diffraction record for ScIBr. The X-ray diffraction stick pattern is computed, not measured: it uses the GGA-PBE geometry in Alexandria and λ = 1.5418 Å (Cu Kα).
Peak positions follow from Bragg's law for the DFT cell and can differ from measured ones.

Most intense lines, 2θ from 5° to 70°, low angle first:
| d_spacing | intensity | h k l |
| --- | --- | --- |
| 7.648 | 53.1 | 0 0 1 |
| 3.824 | 47.8 | 0 0 2 |
| 3.136 | 31.5 | 2 0 -1 |
| 3.124 | 100.0 | 1 1 -1 |
| 3.057 | 42.6 | 1 1 1 |
| 3.005 | 61.4 | 2 0 1 |
| 2.569 | 56.2 | 1 1 -2 |
| 2.088 | 22.3 | 2 0 -3 |
| 2.007 | 35.7 | 1 1 3 |
| 1.939 | 37.0 | 3 1 0 |

Structural model:
```
data_ScIBr
_cell_length_a 6.7117
_cell_length_b 3.9110
_cell_length_c 7.6613
_cell_angle_alpha 90.00
_cell_angle_beta 93.33
_cell_angle_gamma 90.00
_symmetry_space_group_name_H-M 'P 1 21/m 1'
_symmetry_Int_Tables_number 11
_symmetry_space_group_name_Hall '-P 2yb'
loop_
_atom_site_label
_atom_site_type_symbol
_atom_site_fract_x
_atom_site_fract_y
_atom_site_fract_z
Sc1 Sc 0.2427 0.2500 0.0015
I1 I 0.1011 0.7500 0.2502
Br1 Br 0.4029 0.7500 0.7944
```


5.
Diffraction record for Se2I2Br3. The X-ray diffraction stick pattern is computed, not measured: it uses the GGA-PBE geometry in Alexandria and λ = 1.5418 Å (Cu Kα).
Peak positions follow from Bragg's law for the DFT cell and can differ from measured ones.

Most intense lines, 2θ from 5° to 70°, low angle first:
| d_spacing | intensity | h k l |
| --- | --- | --- |
| 8.751 | 100.0 | 0 0 1 |
| 6.747 | 67.9 | 0 1 0 |
| 5.285 | 52.4 | 0 1 1 |
| 4.978 | 59.7 | 1 0 1 |
| 4.265 | 78.3 | 1 -1 1 |
| 3.155 | 59.3 | 1 -2 0 |
| 3.122 | 28.4 | 0 2 1 |
| 2.917 | 25.8 | 0 0 3 |
| 2.541 | 26.6 | 2 1 1 |
| 2.343 | 24.7 | 2 1 -2 |

Structural model:
```
data_Se2I2Br3
_cell_length_a 6.3053
_cell_length_b 6.8129
_cell_length_c 8.7603
_cell_angle_alpha 90.97
_cell_angle_beta 92.36
_cell_angle_gamma 97.90
_symmetry_space_group_name_H-M 'P 1'
_symmetry_Int_Tables_number 1
_symmetry_space_group_name_Hall 'P 1'
loop_
_atom_site_label
_atom_site_type_symbol
_atom_site_fract_x
_atom_site_fract_y
_atom_site_fract_z
Se1 Se 0.0000 0.0000 0.0000
Se2 Se 0.1246 0.6886 0.9748
I1 I 0.3608 0.7676 0.7383
I2 I 0.8670 0.9534 0.2821
Br1 Br 0.3725 0.2351 0.0142
Br2 Br 0.7480 0.9071 0.5902
Br3 Br 0.7515 0.4475 0.9703
```


6.
Diffraction record for Se7IBr12. The X-ray diffraction stick pattern is computed, not measured: it uses the GGA-PBE geometry in Alexandria and λ = 1.5418 Å (Cu Kα).
Peak positions follow from Bragg's law for the DFT cell and can differ from measured ones.

Most intense lines, 2θ from 5° to 70°, low angle first:
| d_spacing | intensity | h k l |
| --- | --- | --- |
| 5.986 | 54.6 | -1 1 1 |
| 5.453 | 48.8 | 1 -1 1 |
| 3.985 | 59.9 | 0 2 -2 |
| 3.638 | 100.0 | 2 0 -2 |
| 3.512 | 54.2 | 2 -2 0 |
| 3.455 | 63.7 | 0 1 -3 |
| 3.207 | 77.0 | 2 -2 1 |
| 3.133 | 62.7 | 1 -3 0 |
| 2.437 | 58.1 | 0 0 4 |
| 1.914 | 58.4 | 3 0 -5 |

Structural model:
```
data_Se7IBr12
_cell_length_a 8.1534
_cell_length_b 9.6513
_cell_length_c 10.8382
_cell_angle_alpha 103.12
_cell_angle_beta 106.89
_cell_angle_gamma 107.05
_symmetry_space_group_name_H-M 'P -1'
_symmetry_Int_Tables_number 2
_symmetry_space_group_name_Hall '-P 1'
loop_
_atom_site_label
_atom_site_type_symbol
_atom_site_fract_x
_atom_site_fract_y
_atom_site_fract_z
Se1 Se 0.0000 0.0000 0.0000
Se2 Se 0.1467 0.5780 0.5029
Se3 Se 0.4851 0.1252 0.5053
Se4 Se 0.4922 0.4934 0.1083
I1 I 0.5000 0.5000 0.5000
Br1 Br 0.0970 0.2984 0.0534
Br2 Br 0.1532 0.0522 0.2680
Br3 Br 0.2147 0.3104 0.7506
Br4 Br 0.2238 0.7627 0.7189
Br5 Br 0.3076 0.0174 0.9699
Br6 Br 0.3229 0.7479 0.2581
```


7.
Diffraction record for Tl5SeI2Br. The X-ray diffraction stick pattern is computed, not measured: it uses the GGA-PBE geometry in Alexandria and λ = 1.5418 Å (Cu Kα).
Peak positions follow from Bragg's law for the DFT cell and can differ from measured ones.

Most intense lines, 2θ from 5° to 70°, low angle first:
| d_spacing | intensity | h k l |
| --- | --- | --- |
| 3.771 | 21.8 | 1 3 1 |
| 3.444 | 36.2 | 0 2 4 |
| 3.401 | 35.9 | 0 6 1 |
| 3.339 | 100.0 | 1 1 3 |
| 3.131 | 35.2 | 1 5 0 |
| 2.878 | 21.2 | 1 5 2 |
| 2.857 | 21.5 | 1 1 4 |
| 2.814 | 19.9 | 0 2 5 |
| 2.352 | 33.0 | 2 0 0 |
| 2.078 | 22.7 | 1 7 4 |

Structural model:
```
data_Tl5SeI2Br
_cell_length_a 4.7035
_cell_length_b 20.9837
_cell_length_c 14.6026
_cell_angle_alpha 90.00
_cell_angle_beta 90.00
_cell_angle_gamma 90.00
_symmetry_space_group_name_H-M 'C m c 21'
_symmetry_Int_Tables_number 36
_symmetry_space_group_name_Hall 'C 2c -2'
loop_
_atom_site_label
_atom_site_type_symbol
_atom_site_fract_x
_atom_site_fract_y
_atom_site_fract_z
Tl1 Tl 0.0000 0.0076 0.0000
Tl2 Tl 0.0000 0.1291 0.2519
Tl3 Tl 0.0000 0.2014 0.6341
Tl4 Tl 0.0000 0.2333 0.9190
Tl5 Tl 0.0000 0.4167 0.3258
Se1 Se 0.0000 0.2777 0.2741
I1 I 0.0000 0.3707 0.5714
I2 I 0.0000 0.3952 0.9376
Br1 Br 0.0000 0.0438 0.6956
```


8.
Diffraction record for USeIBr. The X-ray diffraction stick pattern is computed, not measured: it uses the GGA-PBE geometry in Alexandria and λ = 1.5418 Å (Cu Kα).
Peak positions follow from Bragg's law for the DFT cell and can differ from measured ones.

Most intense lines, 2θ from 5° to 70°, low angle first:
| d_spacing | intensity | h k l |
| --- | --- | --- |
| 7.937 | 100.0 | 0 0 1 |
| 4.056 | 18.8 | 2 0 -1 |
| 3.890 | 77.6 | 2 0 0 |
| 3.386 | 17.0 | 2 0 -2 |
| 3.114 | 51.6 | 2 0 1 |
| 2.622 | 22.4 | 1 1 2 |
| 2.412 | 34.6 | 1 1 -3 |
| 2.377 | 62.6 | 0 2 0 |
| 2.277 | 29.7 | 3 1 -2 |
| 1.769 | 18.0 | 0 2 3 |

Structural model:
```
data_USeIBr
_cell_length_a 8.2337
_cell_length_b 4.7526
_cell_length_c 8.4049
_cell_angle_alpha 90.00
_cell_angle_beta 109.22
_cell_angle_gamma 90.00
_symmetry_space_group_name_H-M 'C 1 m 1'
_symmetry_Int_Tables_number 8
_symmetry_space_group_name_Hall 'C -2y'
loop_
_atom_site_label
_atom_site_type_symbol
_atom_site_fract_x
_atom_site_fract_y
_atom_site_fract_z
U1 U 0.0000 0.0000 0.0000
Se1 Se 0.1447 0.5000 0.9346
I1 I 0.4139 0.0000 0.2398
Br1 Br 0.3858 0.5000 0.6603
```